The following is a computed powder XRD pattern of Li3Mn2FeB3O9. It was derived from a crystal structure in Alexandria, relaxed with GGA+U, using CuKα.
Intensities are scaled so that the largest is 100.

Crystal structure
Cell lengths 8.8370, 8.8370, 8.2635 Å; angles 117.86, 117.86, 42.06 degrees
Fractional coordinates of all 36 atoms:
Li (0.1168, 0.6160, 0.3144)
Li (0.2489, 0.7511, 0.0000)
Li (0.4066, 0.9087, 0.5821)
Li (0.6160, 0.1168, 0.3144)
Li (0.7511, 0.2489, 0.0000)
Li (0.9087, 0.4066, 0.5821)
Mn (0.1896, 0.1896, 0.2877)
Mn (0.5142, 0.5142, 0.6731)
Mn (0.6888, 0.6888, 0.2873)
Mn (0.8216, 0.8216, 0.9370)
Fe (0.0113, 0.0113, 0.6653)
Fe (0.3245, 0.3245, 0.9379)
B (0.0094, 0.0094, 0.3009)
B (0.0917, 0.5924, 0.6333)
B (0.4225, 0.9271, 0.9639)
B (0.5072, 0.5072, 0.2994)
B (0.5924, 0.0917, 0.6333)
B (0.9271, 0.4225, 0.9639)
O (0.0240, 0.5198, 0.0454)
O (0.0389, 0.5396, 0.4394)
O (0.0513, 0.5443, 0.7388)
O (0.1062, 0.1062, 0.4139)
O (0.1849, 0.6934, 0.7216)
O (0.3654, 0.8707, 0.7703)
O (0.3838, 0.8845, 0.0768)
O (0.4505, 0.4505, 0.3796)
O (0.4661, 0.4661, 0.1045)
O (0.5198, 0.0240, 0.0454)
O (0.5396, 0.0389, 0.4394)
O (0.5443, 0.0513, 0.7388)
O (0.6042, 0.6042, 0.4115)
O (0.6934, 0.1849, 0.7216)
O (0.8707, 0.3654, 0.7703)
O (0.8845, 0.3838, 0.0768)
O (0.9529, 0.9529, 0.3829)
O (0.9685, 0.9685, 0.1073)

Principal peaks in the range 10° ≤ 2θ ≤ 90°, by intensity:
2θ = 21.5°, rel. 100.0; 2θ = 35.7°, rel. 81.5; 2θ = 37.8°, rel. 32.2; 2θ = 47.7°, rel. 28.0; 2θ = 54.6°, rel. 19.6; 2θ = 33.2°, rel. 17.8; 2θ = 30.8°, rel. 16.9; 2θ = 53.0°, rel. 16.3